Entry 1:
The following is a theoretical powder diffraction line list of LaPaCu2O6. It was derived from a DFT-relaxed cell (PBE, Alexandria), using Cu Kα (weighted mean of Kα1 and Kα2).
Neutral-atom scattering factors, no anomalous dispersion.

Most intense lines, 5° ≤ 2θ ≤ 70°, most intense first:
d (Å)  two_theta  I_rel
3.151  28.32  1000
2.798  31.98  599
4.185  21.23  408
2.092  43.24  318
1.676  54.78  318
1.907  47.70  227
1.616  57.00  191
1.967  46.15  168
1.373  68.32  156
1.576  58.59  125

Cell and atoms:
Unit cell a=5.5967 b=5.5967 c=16.5894 alpha=90.00 beta=90.00 gamma=120.00
Space group R-3 (No. 148, hexagonal axes)
One atom of each set of equivalent atoms:
La1 0.0000 0.0000 0.0000 (multiplicity 3)
Pa1 0.0000 0.0000 0.5000 (multiplicity 3)
Cu1 0.0000 0.0000 0.2407 (multiplicity 6)
O1 0.0077 0.6869 0.4224 (multiplicity 18)

Entry 2:
The following is a theoretical powder diffraction line list of ZnF5. It was derived from a DFT-relaxed cell (PBE, Alexandria), using Cu Kα (weighted mean of Kα1 and Kα2).
Neutral-atom scattering factors, no anomalous dispersion.

Most intense lines, 5° ≤ 2θ ≤ 70°, most intense first:
d (Å)  two_theta  I_rel
7.047  12.56  1000
2.404  37.41  522
3.523  25.28  389
3.443  25.88  334
1.629  56.48  280
3.365  26.49  263
3.887  22.88  254
2.001  45.31  207
2.765  32.38  193
1.943  46.76  160

Cell and atoms:
Unit cell a=7.7762 b=3.0192 c=7.9578 alpha=90.00 beta=117.68 gamma=90.00
Space group Cm (No. 8)
One atom of each set of equivalent atoms:
Zn1 0.0000 0.0000 0.0000 (multiplicity 2)
F1 0.0473 0.5000 0.1748 (multiplicity 2)
F2 0.1042 0.0000 0.5274 (multiplicity 2)
F3 0.2194 0.5000 0.9615 (multiplicity 2)
F4 0.3962 0.5000 0.4324 (multiplicity 2)
F5 0.4150 0.0000 0.7965 (multiplicity 2)